# Na5CdIn5
Calculated PXRD pattern, CuKα. Input: a cell relaxed with GGA-PBE.

Peak list (10 most intense, 15 to 90 degrees two-theta, in order of rising 2θ)
2theta	d (Å)	intensity	(hkl)
17.01	5.213	47.4	1 0 0
18.85	4.707	78.1	1 0 1
23.57	3.775	31.9	1 0 2
29.68	3.010	38.3	1 1 0
29.89	2.990	46.2	1 0 3
32.72	2.737	38.2	0 0 4
33.99	2.637	31.6	1 1 2
34.41	2.607	33.2	2 0 0
38.24	2.353	100.0	2 0 2
38.78	2.322	37.7	1 1 3

Structure:
```
data_Na5CdIn5
_cell_length_a 6.0196
_cell_length_b 6.0196
_cell_length_c 10.9476
_cell_angle_alpha 90.00
_cell_angle_beta 90.00
_cell_angle_gamma 120.00
_space_group_name_H-M_alt 'P -6 m 2'
_space_group_IT_number 187
_space_group_name_Hall 'P -6 2'
loop_
_atom_site_label
_atom_site_type_symbol
_atom_site_fract_x
_atom_site_fract_y
_atom_site_fract_z
_atom_site_occupancy
Na1 Na 0.0000 0.0000 0.0000 1
Na2 Na 0.3333 0.6667 0.3236 1
Na3 Na 0.6667 0.3333 0.2064 1
Cd1 Cd 0.3333 0.6667 0.0000 1
In1 In 0.0000 0.0000 0.2714 1
In2 In 0.3398 0.1699 0.5000 1
```

---

# NaCd6In3
Calculated PXRD pattern, CuKα. Input: a cell relaxed with GGA-PBE.

Peak list (10 most intense, 15 to 90 degrees two-theta, in order of rising 2θ)
2theta	d (Å)	intensity	(hkl)
33.35	2.687	38.9	1 0 4
34.12	2.628	40.2	4 -1 2
34.30	2.614	100.0	4 0 1
34.84	2.575	61.2	0 3 3
36.44	2.466	16.0	0 2 4
37.15	2.420	29.0	0 4 2
37.32	2.409	17.9	5 -2 1
37.82	2.379	20.8	2 2 3
59.53	1.553	17.5	4 4 0
62.25	1.491	17.9	4 3 4

Structure:
```
data_NaCd6In3
_cell_length_a 12.4233
_cell_length_b 12.4233
_cell_length_c 11.0981
_cell_angle_alpha 90.00
_cell_angle_beta 90.00
_cell_angle_gamma 120.00
_space_group_name_H-M_alt 'R -3'
_space_group_IT_number 148
_space_group_name_Hall '-R 3'
loop_
_atom_site_label
_atom_site_type_symbol
_atom_site_fract_x
_atom_site_fract_y
_atom_site_fract_z
_atom_site_occupancy
Na1 Na 0.0000 0.0000 0.0000 1
Na2 Na 0.0000 0.0000 0.5000 1
Cd1 Cd 0.0009 0.2616 0.0009 1
Cd2 Cd 0.0437 0.5199 0.1262 1
In1 In 0.0868 0.1754 0.7555 1
```

---

# Na5Cd6In
Calculated PXRD pattern, CuKα. Input: a cell relaxed with GGA-PBE.

Peak list (10 most intense, 15 to 90 degrees two-theta, in order of rising 2θ)
2theta	d (Å)	intensity	(hkl)
18.80	4.719	24.0	0 1 1
27.21	3.278	19.8	1 1 -2
33.28	2.692	100.0	1 2 -1
38.14	2.360	17.0	0 2 2
38.55	2.336	16.5	0 3 -3
39.17	2.300	15.8	-2 1 1
56.12	1.639	10.6	2 -4 2
65.83	1.419	9.4	1 4 1
66.39	1.408	9.3	1 5 -4
67.27	1.392	8.9	3 1 -2

Structure:
```
data_Na5Cd6In
_cell_length_a 4.6003
_cell_length_b 8.7441
_cell_length_c 8.7621
_cell_angle_alpha 106.35
_cell_angle_beta 105.18
_cell_angle_gamma 105.18
_space_group_name_H-M_alt 'P -1'
_space_group_IT_number 2
loop_
_space_group_symop_operation_xyz
'x,y,z'
'-x,-y,-z'
loop_
_atom_site_label
_atom_site_type_symbol
_atom_site_fract_x
_atom_site_fract_y
_atom_site_fract_z
_atom_site_occupancy
Na1 Na 0.0000 0.0000 0.0000 1
Na2 Na 0.0007 0.3336 0.6661 1
Na3 Na 0.4996 0.1642 0.8359 1
Cd1 Cd 0.2447 0.7442 0.7442 1
Cd2 Cd 0.2502 0.4179 0.0866 1
Cd3 Cd 0.2534 0.0862 0.4169 1
In1 In 0.5000 0.5000 0.5000 1
```

---

# Na6Cd2In
Calculated PXRD pattern, CuKα. Input: a cell relaxed with GGA-PBE.

Peak list (10 most intense, 15 to 90 degrees two-theta, in order of rising 2θ)
2theta	d (Å)	intensity	(hkl)
18.83	4.714	100.0	1 0 1
19.45	4.564	32.2	0 1 2
32.53	2.752	87.0	1 1 0
34.02	2.635	68.9	1 0 10
36.50	2.462	26.4	0 1 11
37.85	2.377	17.0	0 2 1
41.69	2.167	18.4	1 1 9
47.79	1.903	43.6	0 2 10
58.05	1.589	15.3	3 0 0
59.01	1.565	22.4	2 1 10

Structure:
```
data_Na6Cd2In
_cell_length_a 5.5044
_cell_length_b 5.5044
_cell_length_c 31.6193
_cell_angle_alpha 90.00
_cell_angle_beta 90.00
_cell_angle_gamma 120.00
_space_group_name_H-M_alt 'R -3 m'
_space_group_IT_number 166
_space_group_name_Hall '-R 3 2"'
loop_
_atom_site_label
_atom_site_type_symbol
_atom_site_fract_x
_atom_site_fract_y
_atom_site_fract_z
_atom_site_occupancy
Na1 Na 0.0000 0.0000 0.0846 1
Na2 Na 0.0000 0.0000 0.1981 1
Na3 Na 0.0000 0.0000 0.3081 1
Cd1 Cd 0.0000 0.0000 0.4086 1
In1 In 0.0000 0.0000 0.5000 1
```